# 1
The following is a computed powder X-ray diffraction pattern of MnAlP2. It was derived from a crystal structure in Alexandria, relaxed with PBE, using Cu Kα (weighted mean of Kα1 and Kα2).

Principal peaks in the range 2θ = 5–70°, by angle:
2theta  d [Å]  Rel. int.
35.8  2.507  51
36.1  2.488  100
51.7  1.769  33
51.9  1.763  49
52.0  1.758  16
64.7  1.442  24

Structural model:
Lattice parameters (Å, degrees): 3.515 3.523 5.015 90.00 90.26 90.00
Fractional coordinates of all 4 atoms:
Mn: 0.000 0.000 0.000
Al: 0.502 0.500 0.500
P: 0.002 0.000 0.500
P: 0.500 0.500 0.000

---

# 2
The following is a computed powder X-ray diffraction pattern of Sc3Zn2Ga2Au4. It was derived from a crystal structure in Alexandria, relaxed with PBE, using Cu Kα (weighted mean of Kα1 and Kα2).

Principal peaks in the range 2θ = 5–70°, by angle:
2theta  d [Å]  Rel. int.
23.1  3.845  46
27.3  3.270  81
28.7  3.109  38
37.2  2.417  66
40.6  2.220  100
50.5  1.807  50

Structural model:
Lattice parameters (Å, degrees): 4.440 4.440 12.434 90.00 90.00 120.00
Fractional coordinates of all 11 atoms:
Sc: 0.000 0.000 0.000
Sc: 0.000 0.000 0.267
Sc: 0.000 0.000 0.733
Zn: 0.333 0.667 0.573
Zn: 0.667 0.333 0.427
Ga: 0.333 0.667 0.136
Ga: 0.667 0.333 0.864
Au: 0.333 0.667 0.363
Au: 0.333 0.667 0.879
Au: 0.667 0.333 0.121
Au: 0.667 0.333 0.637

---

# 3
The following is a computed powder X-ray diffraction pattern of LaGaPd3. It was derived from a crystal structure in Alexandria, relaxed with PBE, using Cu Kα (weighted mean of Kα1 and Kα2).

Principal peaks in the range 2θ = 5–70°, by angle:
2theta  d [Å]  Rel. int.
28.3  3.158  69
29.6  3.023  70
38.6  2.335  100
38.7  2.327  94
41.5  2.178  98
42.0  2.149  72

Structural model:
Lattice parameters (Å, degrees): 6.655 6.655 6.655 130.60 99.54 100.58
Fractional coordinates of all 10 atoms:
La: 0.278 0.028 0.250
La: 0.722 0.972 0.750
Ga: 0.000 0.500 0.500
Ga: 0.500 0.500 0.000
Pd: 0.092 0.342 0.750
Pd: 0.265 0.000 0.765
Pd: 0.265 0.500 0.265
Pd: 0.735 0.000 0.235
Pd: 0.735 0.500 0.735
Pd: 0.908 0.658 0.250

---

# 4
The following is a computed powder X-ray diffraction pattern of Nb2RhO6. It was derived from a crystal structure in Alexandria, relaxed with PBE, using Cu Kα (weighted mean of Kα1 and Kα2).

Principal peaks in the range 2θ = 5–70°, by angle:
2theta  d [Å]  Rel. int.
22.1  4.025  20
27.7  3.225  100
30.1  2.970  31
35.3  2.542  52
45.4  1.996  22
52.8  1.733  62

Structural model:
Lattice parameters (Å, degrees): 8.805 8.805 4.738 90.00 90.00 120.00
Fractional coordinates of all 27 atoms:
Nb: 0.000 0.358 0.000
Nb: 0.000 0.691 0.500
Nb: 0.309 0.309 0.500
Nb: 0.358 0.000 0.000
Nb: 0.642 0.642 0.000
Nb: 0.691 0.000 0.500
Rh: 0.000 0.000 0.000
Rh: 0.333 0.667 0.500
Rh: 0.667 0.333 0.500
O: 0.101 0.554 0.259
O: 0.116 0.232 0.235
O: 0.116 0.884 0.235
O: 0.212 0.433 0.742
O: 0.222 0.788 0.742
O: 0.232 0.116 0.765
O: 0.433 0.212 0.258
O: 0.446 0.546 0.259
O: 0.454 0.899 0.259
O: 0.546 0.446 0.741
O: 0.554 0.101 0.741
O: 0.567 0.778 0.742
O: 0.768 0.884 0.235
O: 0.778 0.567 0.258
O: 0.788 0.222 0.258
O: 0.884 0.116 0.765
O: 0.884 0.768 0.765
O: 0.899 0.454 0.741